No. 1
Tb5Mg24: computed X-ray powder pattern (λ = 1.5418 Å (Cu Kα)), based on a DFT-relaxed cell (PBE, the Materials Project).
Lines closer than 0.1° are merged.

Cell and atoms:
Lattice parameters (Å, degrees): 9.773 9.773 9.773 109.47 109.47 109.47
Fractional coordinates of all 29 atoms:
1 Tb 0.000 0.000 0.000
2 Tb 0.000 0.000 0.628
3 Tb 0.000 0.628 0.000
4 Tb 0.372 0.372 0.372
5 Tb 0.628 0.000 0.000
6 Mg 0.000 0.190 0.370
7 Mg 0.000 0.370 0.190
8 Mg 0.000 0.390 0.675
9 Mg 0.000 0.675 0.390
10 Mg 0.179 0.810 0.810
11 Mg 0.190 0.000 0.370
12 Mg 0.190 0.370 0.000
13 Mg 0.285 0.610 0.610
14 Mg 0.325 0.325 0.715
15 Mg 0.325 0.715 0.325
16 Mg 0.370 0.000 0.190
17 Mg 0.370 0.190 0.000
18 Mg 0.390 0.000 0.675
19 Mg 0.390 0.675 0.000
20 Mg 0.610 0.285 0.610
21 Mg 0.610 0.610 0.285
22 Mg 0.630 0.630 0.821
23 Mg 0.630 0.821 0.630
24 Mg 0.675 0.000 0.390
25 Mg 0.675 0.390 0.000
26 Mg 0.715 0.325 0.325
27 Mg 0.810 0.179 0.810
28 Mg 0.810 0.810 0.179
29 Mg 0.821 0.630 0.630

Peak list (10 most intense, 15° ≤ 2θ ≤ 90°, by intensity)
d/Å  I_rel
2.660  100
4.607  36
3.016  27
1.536  25
1.831  21
3.990  17
2.303  13
1.140  12
1.596  11
1.881  10

***

No. 2
La5AgPb3: computed X-ray powder pattern (λ = 1.5418 Å (Cu Kα)), based on a DFT-relaxed cell (PBE, the Materials Project).
Lines closer than 0.1° are merged.

Cell and atoms:
Lattice parameters (Å, degrees): 9.886 9.886 6.971 90.00 90.00 120.00
Fractional coordinates of all 18 atoms:
1 La 0.000 0.273 0.250
2 La 0.000 0.727 0.750
3 La 0.273 0.000 0.250
4 La 0.273 0.273 0.750
5 La 0.333 0.667 0.000
6 La 0.333 0.667 0.500
7 La 0.667 0.333 0.000
8 La 0.667 0.333 0.500
9 La 0.727 0.000 0.750
10 La 0.727 0.727 0.250
11 Ag 0.000 0.000 0.000
12 Ag 0.000 0.000 0.500
13 Pb 0.000 0.378 0.750
14 Pb 0.000 0.622 0.250
15 Pb 0.378 0.000 0.750
16 Pb 0.378 0.378 0.250
17 Pb 0.622 0.000 0.250
18 Pb 0.622 0.622 0.750

Peak list (10 most intense, 15° ≤ 2θ ≤ 90°, by intensity)
d/Å  I_rel
2.851  100
2.935  31
2.016  15
1.889  14
1.487  13
1.647  13
2.248  11
1.501  9
3.485  8
1.576  8

***

No. 3
EuSi2PdAu: computed X-ray powder pattern (λ = 1.5418 Å (Cu Kα)), based on a DFT-relaxed cell (PBE, the Materials Project).
Lines closer than 0.1° are merged.

Cell and atoms:
Lattice parameters (Å, degrees): 4.352 4.352 10.069 90.00 90.00 90.00
Fractional coordinates of all 10 atoms:
1 Eu 0.000 0.000 0.000
2 Eu 0.500 0.500 0.500
3 Si 0.000 0.000 0.382
4 Si 0.000 0.000 0.618
5 Si 0.500 0.500 0.118
6 Si 0.500 0.500 0.882
7 Pd 0.000 0.500 0.250
8 Pd 0.500 0.000 0.750
9 Au 0.000 0.500 0.750
10 Au 0.500 0.000 0.250

Peak list (10 most intense, 15° ≤ 2θ ≤ 90°, by intensity)
d/Å  I_rel
2.625  100
2.176  36
3.995  26
1.327  26
2.658  21
1.646  19
1.473  17
2.517  17
5.034  13
1.539  12

***

No. 4
Pr2MgS4: computed X-ray powder pattern (λ = 1.5418 Å (Cu Kα)), based on a DFT-relaxed cell (PBE, the Materials Project).
Lines closer than 0.1° are merged.

Cell and atoms:
Lattice parameters (Å, degrees): 13.138 7.882 13.053 90.00 90.00 90.00
Fractional coordinates of all 56 atoms:
1 Pr 0.110 0.114 0.000
2 Pr 0.127 0.616 0.643
3 Pr 0.135 0.370 0.311
4 Pr 0.136 0.870 0.310
5 Pr 0.364 0.870 0.810
6 Pr 0.365 0.370 0.811
7 Pr 0.373 0.616 0.143
8 Pr 0.390 0.114 0.500
9 Pr 0.610 0.886 0.000
10 Pr 0.627 0.384 0.643
11 Pr 0.635 0.630 0.311
12 Pr 0.636 0.130 0.310
13 Pr 0.864 0.130 0.810
14 Pr 0.865 0.630 0.811
15 Pr 0.873 0.384 0.143
16 Pr 0.890 0.886 0.500
17 Mg 0.111 0.614 0.010
18 Mg 0.126 0.120 0.636
19 Mg 0.374 0.120 0.136
20 Mg 0.389 0.614 0.510
21 Mg 0.611 0.386 0.010
22 Mg 0.626 0.880 0.636
23 Mg 0.874 0.880 0.136
24 Mg 0.889 0.386 0.510
25 S 0.010 0.117 0.196
26 S 0.026 0.629 0.183
27 S 0.028 0.617 0.445
28 S 0.047 0.127 0.457
29 S 0.210 0.120 0.811
30 S 0.210 0.619 0.842
31 S 0.232 0.366 0.093
32 S 0.233 0.868 0.090
33 S 0.267 0.868 0.590
34 S 0.268 0.366 0.593
35 S 0.290 0.120 0.311
36 S 0.290 0.619 0.342
37 S 0.453 0.127 0.957
38 S 0.472 0.617 0.945
39 S 0.474 0.629 0.683
40 S 0.490 0.117 0.696
41 S 0.510 0.883 0.196
42 S 0.526 0.371 0.183
43 S 0.528 0.383 0.445
44 S 0.547 0.873 0.457
45 S 0.710 0.381 0.842
46 S 0.710 0.880 0.811
47 S 0.732 0.634 0.093
48 S 0.733 0.132 0.090
49 S 0.767 0.132 0.590
50 S 0.768 0.634 0.593
51 S 0.790 0.381 0.342
52 S 0.790 0.880 0.311
53 S 0.953 0.873 0.957
54 S 0.972 0.383 0.945
55 S 0.974 0.371 0.683
56 S 0.990 0.883 0.696

Peak list (10 most intense, 15° ≤ 2θ ≤ 90°, by intensity)
d/Å  I_rel
3.627  100
2.858  62
2.673  47
1.955  32
2.147  28
4.704  27
3.267  27
2.073  25
1.970  18
1.731  18

***

No. 5
Ba2Sn3O7: computed X-ray powder pattern (λ = 1.5418 Å (Cu Kα)), based on a DFT-relaxed cell (PBE, the Materials Project).
Lines closer than 0.1° are merged.

Cell and atoms:
Lattice parameters (Å, degrees): 3.884 4.054 13.728 90.00 90.00 90.00
Fractional coordinates of all 12 atoms:
1 Ba 0.000 0.000 0.209
2 Ba 0.000 0.000 0.791
3 Sn 0.500 0.500 0.000
4 Sn 0.500 0.500 0.396
5 Sn 0.500 0.500 0.604
6 O 0.000 0.500 0.339
7 O 0.000 0.500 0.661
8 O 0.500 0.000 0.000
9 O 0.500 0.000 0.347
10 O 0.500 0.000 0.653
11 O 0.500 0.500 0.143
12 O 0.500 0.500 0.857

Peak list (10 most intense, 15° ≤ 2θ ≤ 90°, by intensity)
d/Å  I_rel
2.805  100
3.380  89
1.962  80
3.491  78
2.746  54
2.961  51
3.035  46
2.027  32
1.738  29
1.942  28

***

No. 6
RbB6H6: computed X-ray powder pattern (λ = 1.5418 Å (Cu Kα)), based on a DFT-relaxed cell (PBE, the Materials Project).
Lines closer than 0.1° are merged.

Cell and atoms:
Lattice parameters (Å, degrees): 7.715 7.715 7.715 60.00 60.00 60.00
Fractional coordinates of all 26 atoms:
1 Rb 0.250 0.250 0.250
2 Rb 0.750 0.750 0.750
3 B 0.051 0.214 0.949
4 B 0.051 0.786 0.214
5 B 0.051 0.949 0.786
6 B 0.214 0.051 0.786
7 B 0.214 0.786 0.949
8 B 0.214 0.949 0.051
9 B 0.786 0.051 0.949
10 B 0.786 0.214 0.051
11 B 0.786 0.949 0.214
12 B 0.949 0.051 0.214
13 B 0.949 0.214 0.786
14 B 0.949 0.786 0.051
15 H 0.088 0.365 0.912
16 H 0.088 0.635 0.365
17 H 0.088 0.912 0.635
18 H 0.365 0.088 0.635
19 H 0.365 0.635 0.912
20 H 0.365 0.912 0.088
21 H 0.635 0.088 0.912
22 H 0.635 0.365 0.088
23 H 0.635 0.912 0.365
24 H 0.912 0.088 0.365
25 H 0.912 0.365 0.635
26 H 0.912 0.635 0.088

Peak list (10 most intense, 15° ≤ 2θ ≤ 90°, by intensity)
d/Å  I_rel
3.857  100
2.440  71
5.455  45
3.150  37
2.227  36
1.818  27
1.458  24
1.725  18
2.728  17
1.645  15

***

No. 7
Li27As10: computed X-ray powder pattern (λ = 1.5418 Å (Cu Kα)), based on a DFT-relaxed cell (PBE, the Materials Project).
Lines closer than 0.1° are merged.

Cell and atoms:
Lattice parameters (Å, degrees): 11.452 11.452 7.447 96.02 96.02 142.08
Fractional coordinates of all 37 atoms:
1 Li 0.000 0.000 0.000
2 Li 0.010 0.222 0.884
3 Li 0.085 0.683 0.653
4 Li 0.102 0.898 0.500
5 Li 0.148 0.148 0.384
6 Li 0.157 0.570 0.113
7 Li 0.222 0.010 0.884
8 Li 0.289 0.470 0.617
9 Li 0.301 0.699 0.500
10 Li 0.317 0.915 0.347
11 Li 0.387 0.387 0.150
12 Li 0.400 0.600 0.000
13 Li 0.430 0.843 0.887
14 Li 0.470 0.289 0.617
15 Li 0.530 0.711 0.383
16 Li 0.570 0.157 0.113
17 Li 0.600 0.400 0.000
18 Li 0.613 0.613 0.850
19 Li 0.683 0.085 0.653
20 Li 0.699 0.301 0.500
21 Li 0.711 0.530 0.383
22 Li 0.778 0.990 0.116
23 Li 0.843 0.430 0.887
24 Li 0.852 0.852 0.616
25 Li 0.898 0.102 0.500
26 Li 0.915 0.317 0.347
27 Li 0.990 0.778 0.116
28 As 0.060 0.452 0.733
29 As 0.154 0.356 0.247
30 As 0.235 0.235 0.763
31 As 0.356 0.154 0.247
32 As 0.452 0.060 0.733
33 As 0.548 0.940 0.267
34 As 0.644 0.846 0.753
35 As 0.765 0.765 0.237
36 As 0.846 0.644 0.753
37 As 0.940 0.548 0.267

Peak list (10 most intense, 15° ≤ 2θ ≤ 90°, by intensity)
d/Å  I_rel
3.523  100
2.153  37
3.063  33
1.845  31
2.166  20
3.027  15
1.829  14
1.761  12
1.248  12
1.398  11